# TlSn
Theoretical powder X-ray diffraction pattern, a wavelength of 1.5418 Å. Input: DFT lattice parameters and positions (GGA-PBE).
Lines closer than 0.1° are merged.

Structure:
```
data_TlSn
_space_group_name_H-M_alt 'P 1 21/m 1'
_space_group_IT_number 11
_cell_length_a 3.497
_cell_length_b 4.225
_cell_length_c 8.106
_cell_angle_alpha 90.00
_cell_angle_beta 90.10
_cell_angle_gamma 90.00
loop_
_space_group_symop_operation_xyz
'x,y,z'
'-x,-y,-z'
'-x,y+1/2,-z'
'x,-y+1/2,z'
loop_
_atom_site_label
_atom_site_fract_x
_atom_site_fract_y
_atom_site_fract_z
_atom_site_occupancy
Tl1 0.250 0.250 0.143 1
Sn1 0.250 0.250 0.605 1
```

Peak list (8 most intense, 10° ≤ 2θ ≤ 80°, by angle)
d (Å)	2theta	I (rel.)
2.925	30.56	1000
2.694	33.26	851
2.648	33.85	767
2.112	42.81	215
2.027	44.72	150
1.651	55.66	382
1.621	56.81	156
1.618	56.89	150